Diffraction record for TbHoAl4. The powder diffraction line list is theoretical, not measured: it uses a structure optimized by DFT (PBE) and Cu Kα.
Peak positions follow from Bragg's law for the DFT cell and can differ from measured ones.

Most intense lines, 10° ≤ 2θ ≤ 90°, low angle first:
d [Å]	two_theta	I (rel.)
4.542	19.5	64
2.782	32.2	100
2.372	37.9	98
1.805	50.6	17
1.606	57.4	39
1.514	61.2	32
1.391	67.3	21
1.330	70.9	12
1.244	76.6	17
1.200	80.0	11

abc: 5.563 5.563 5.563
angles: 60.00 60.00 60.00
Sites, in units of the cell vectors:
Tb: 0.000 0.000 0.000
Ho: 0.750 0.750 0.750
Al: 0.375 0.375 0.375
Al: 0.375 0.375 0.875
Al: 0.375 0.875 0.375
Al: 0.875 0.375 0.375